Simulated powder diffraction line list of MnTlCrO6 for Cu Kα X-rays, from a structure optimized by DFT (PBE+U).

Main lines, sorted by position (10 to 90 degrees two-theta):
2θ (°), d (Å), Rel. int., h k l
20.3, 4.365, 74, 0 2 0
27.6, 3.237, 100, 1 1 -1
27.7, 3.221, 95, 0 2 1
28.0, 3.189, 96, 1 1 1
35.6, 2.524, 52, 1 3 0
45.6, 1.990, 48, 0 4 1
52.7, 1.738, 34, 1 3 -2
59.1, 1.564, 36, 2 4 -1

Structural model:
a b c (Å): 5.0239 8.7568 4.7555
angles (deg): 90.00 90.99 90.00
Space group C2 (No. 5)
Inequivalent atoms, fractional coordinates:
Mn  0.0000  0.0000  0.0000 x2
Tl  0.0000  0.3363  0.5000 x2
Cr  0.0000  0.6708  0.0000 x2
O  0.1267  0.8315  0.7812 x4
O  0.1833  0.5193  0.7768 x4
O  0.1903  0.1481  0.7821 x4